# 1
Diffraction record for Na8MgCo2O8. The X-ray powder pattern is theoretical, not measured: it uses a crystal structure in the Materials Project, relaxed with PBE+U and λ = 1.5418 Å (Cu Kα).

Structure:
```
data_Na8MgCo2O8
_space_group_name_H-M_alt 'P 1'
_space_group_IT_number 1
_cell_length_a 5.7860
_cell_length_b 5.8705
_cell_length_c 8.8564
_cell_angle_alpha 72.19
_cell_angle_beta 80.06
_cell_angle_gamma 68.94
loop_
_space_group_symop_operation_xyz
'x,y,z'
loop_
_atom_site_label
_atom_site_type_symbol
_atom_site_fract_x
_atom_site_fract_y
_atom_site_fract_z
Na1 Na 0.0000 0.0000 0.0000
Na2 Na 0.0041 0.2273 0.5845
Na3 Na 0.0321 0.3804 0.1828
Na4 Na 0.0435 0.5135 0.7927
Na5 Na 0.4863 0.5886 0.4920
Na6 Na 0.5164 0.8885 0.1668
Na7 Na 0.5488 0.4608 0.0362
Na8 Na 0.6067 0.7703 0.7007
Mg1 Mg 0.4595 0.2007 0.3869
Co1 Co 0.0256 0.8387 0.3514
Co2 Co 0.5494 0.1457 0.8307
O1 O 0.2313 0.0047 0.3958
O2 O 0.2863 0.2225 0.9779
O3 O 0.2918 0.5781 0.2644
O4 O 0.4434 0.2008 0.6178
O5 O 0.7452 0.7970 0.9282
O6 O 0.7533 0.3313 0.8036
O7 O 0.7662 0.1187 0.2363
O8 O 0.8463 0.6602 0.4880
```

Largest 10 diffraction maxima, in order of falling intensity, 2θ from 10° to 90°:
(hkl)	2theta	I/Imax
1 -1 2	36.8	100
1 1 -2	32.8	81
0 1 1	17.3	66
-1 1 3	39.7	58
2 2 1	37.4	56
1 0 1	18.9	54
2 0 0	33.3	54
1 0 -1	20.2	52
0 0 2	21.1	40
2 3 0	51.9	35



# 2
Diffraction record for NaMgCo3O6. The X-ray powder pattern is theoretical, not measured: it uses a crystal structure in the Materials Project, relaxed with PBE+U and λ = 1.5418 Å (Cu Kα).

Structure:
```
data_NaMgCo3O6
_space_group_name_H-M_alt 'P 1'
_space_group_IT_number 1
_cell_length_a 5.1477
_cell_length_b 5.2747
_cell_length_c 5.7026
_cell_angle_alpha 93.40
_cell_angle_beta 112.89
_cell_angle_gamma 116.99
loop_
_space_group_symop_operation_xyz
'x,y,z'
loop_
_atom_site_label
_atom_site_type_symbol
_atom_site_fract_x
_atom_site_fract_y
_atom_site_fract_z
Na1 Na 0.0000 0.0000 0.0000
Mg1 Mg 0.7487 0.3667 0.1652
Co1 Co 0.1404 0.5837 0.7208
Co2 Co 0.3453 0.1594 0.6044
Co3 Co 0.4751 0.7325 0.3203
O1 O 0.0343 0.5878 0.9856
O2 O 0.1820 0.3955 0.4213
O3 O 0.3575 0.3606 0.8839
O4 O 0.5171 0.9820 0.8454
O5 O 0.5336 0.1325 0.3995
O6 O 0.9076 0.7591 0.4479
```

Largest 10 diffraction maxima, in order of falling intensity, 2θ from 10° to 90°:
(hkl)	2theta	I/Imax
1 1 -1	32.9	100
-1 1 2	37.1	71
1 0 1	34.3	71
1 0 0	21.9	70
1 -2 0	34.1	68
2 -2 1	49.4	55
0 1 -2	35.5	47
-2 1 1	35.0	46
0 3 -1	58.9	39
0 0 1	17.6	36



# 3
Diffraction record for Mg6NbCoO8. The X-ray powder pattern is theoretical, not measured: it uses a crystal structure in the Materials Project, relaxed with PBE+U and λ = 1.5418 Å (Cu Kα).

Structure:
```
data_Mg6NbCoO8
_space_group_name_H-M_alt 'P 4/m m m'
_space_group_IT_number 123
_space_group_name_Hall '-P 4 2'
_cell_length_a 4.2838
_cell_length_b 4.2838
_cell_length_c 8.7559
_cell_angle_alpha 90.00
_cell_angle_beta 90.00
_cell_angle_gamma 90.00
loop_
_atom_site_label
_atom_site_type_symbol
_atom_site_fract_x
_atom_site_fract_y
_atom_site_fract_z
Mg1 Mg 0.0000 0.0000 0.0000
Mg2 Mg 0.0000 0.5000 0.2448
Mg3 Mg 0.5000 0.5000 0.0000
Nb1 Nb 0.0000 0.0000 0.5000
Co1 Co 0.5000 0.5000 0.5000
O1 O 0.0000 0.0000 0.2425
O2 O 0.0000 0.5000 0.0000
O3 O 0.0000 0.5000 0.5000
O4 O 0.5000 0.5000 0.2385
```

Largest 10 diffraction maxima, in order of falling intensity, 2θ from 10° to 90°:
(hkl)	2theta	I/Imax
2 0 0	42.2	100
0 0 1	10.1	80
2 0 4	60.5	60
1 1 2	36.1	53
0 0 4	41.2	53
2 2 0	61.2	33
2 2 4	76.5	27
1 1 1	31.2	27
0 0 2	20.3	21
3 1 2	73.1	17



# 4
Diffraction record for MgNb4Co2O12. The X-ray powder pattern is theoretical, not measured: it uses a crystal structure in the Materials Project, relaxed with PBE+U and λ = 1.5418 Å (Cu Kα).

Structure:
```
data_MgNb4Co2O12
_space_group_name_H-M_alt 'P 1'
_space_group_IT_number 1
_cell_length_a 5.7757
_cell_length_b 5.9113
_cell_length_c 7.6086
_cell_angle_alpha 69.62
_cell_angle_beta 71.51
_cell_angle_gamma 76.10
loop_
_space_group_symop_operation_xyz
'x,y,z'
loop_
_atom_site_label
_atom_site_type_symbol
_atom_site_fract_x
_atom_site_fract_y
_atom_site_fract_z
Mg1 Mg 0.0000 0.0000 0.0000
Nb1 Nb 0.3122 0.8303 0.6346
Nb2 Nb 0.5857 0.2100 0.8251
Nb3 Nb 0.6142 0.1345 0.3574
Nb4 Nb 0.9387 0.5010 0.0482
Co1 Co 0.3370 0.8047 0.1933
Co2 Co 0.9698 0.4909 0.5168
O1 O 0.0146 0.1498 0.1880
O2 O 0.0464 0.6385 0.1960
O3 O 0.2206 0.7065 0.4789
O4 O 0.2557 0.1950 0.5061
O5 O 0.3294 0.4702 0.8546
O6 O 0.3790 0.9581 0.8870
O7 O 0.5933 0.0466 0.1319
O8 O 0.5974 0.5167 0.1749
O9 O 0.6832 0.7862 0.5295
O10 O 0.7092 0.2614 0.5520
O11 O 0.8716 0.3392 0.8362
O12 O 0.9469 0.8288 0.8382
```

Largest 10 diffraction maxima, in order of falling intensity, 2θ from 10° to 90°:
(hkl)	2theta	I/Imax
1 -1 0	24.7	100
1 1 2	25.7	92
1 2 0	34.4	34
3 0 0	50.5	34
2 1 0	34.7	33
1 0 -2	34.2	31
0 1 -2	34.6	28
0 2 2	35.3	24
0 2 -1	38.7	18
3 2 2	51.7	17